Record 1
Structure and computed PXRD pattern of Tm3B2Ir5 (a cell relaxed with GGA-PBE; Cu Kα (weighted mean of Kα1 and Kα2)).
Peak positions follow from Bragg's law for the DFT cell and can differ from measured ones.

Principal peaks in the range 10° ≤ 2θ ≤ 80°, most intense first:
d (Å)	Rel. int.	h k l
2.232	100.0	3 1 1
2.589	88.6	2 1 1
2.390	85.0	4 1 0
2.203	58.6	4 2 0
2.356	48.8	2 2 1
2.078	37.5	3 2 1
1.461	27.1	6 0 1
1.329	27.1	4 1 2

```
data_Tm3B2Ir5
_chemical_formula_sum 'Tm6 B4 Ir10'
_cell_length_a 9.8542
_cell_length_b 9.8542
_cell_length_c 3.1990
_cell_angle_alpha 90.00
_cell_angle_beta 90.00
_cell_angle_gamma 90.00
_space_group_name_H-M_alt 'P 4/m b m'
_space_group_IT_number 127
_space_group_name_Hall '-P 4 2ab'
loop_
_atom_site_label
_atom_site_fract_x
_atom_site_fract_y
_atom_site_fract_z
Tm1 0.0000 0.0000 0.0000
Tm2 0.1770 0.3230 0.0000
B1 0.1200 0.6200 0.0000
Ir1 0.0000 0.5000 0.5000
Ir2 0.0699 0.7700 0.5000
```

***

Record 2
Structure and computed PXRD pattern of CeUCo2P2 (a cell relaxed with GGA-PBE; Cu Kα (weighted mean of Kα1 and Kα2)).
Peak positions follow from Bragg's law for the DFT cell and can differ from measured ones.

Principal peaks in the range 10° ≤ 2θ ≤ 80°, most intense first:
d (Å)	Rel. int.	h k l
3.322	100.0	0 1 2
2.986	71.5	1 0 4
1.999	60.3	1 1 0
2.245	52.4	0 1 8
1.950	33.2	1 0 10
1.402	32.9	1 1 12
3.426	32.2	1 0 1
1.966	16.5	0 0 12

```
data_CeUCo2P2
_chemical_formula_sum 'Ce3 U3 Co6 P6'
_cell_length_a 3.9981
_cell_length_b 3.9981
_cell_length_c 23.5915
_cell_angle_alpha 90.00
_cell_angle_beta 90.00
_cell_angle_gamma 120.00
_space_group_name_H-M_alt 'R -3 m'
_space_group_IT_number 166
_space_group_name_Hall '-R 3 2"'
loop_
_atom_site_label
_atom_site_fract_x
_atom_site_fract_y
_atom_site_fract_z
Ce1 0.0000 0.0000 0.0000
U1 0.0000 0.0000 0.5000
Co1 0.0000 0.0000 0.4057
P1 0.0000 0.0000 0.2497
```

***

Record 3
Structure and computed PXRD pattern of K2CaRh (a cell relaxed with GGA-PBE; Cu Kα (weighted mean of Kα1 and Kα2)).
Peak positions follow from Bragg's law for the DFT cell and can differ from measured ones.

Principal peaks in the range 10° ≤ 2θ ≤ 80°, most intense first:
d (Å)	Rel. int.	h k l
2.775	100.0	1 1 -1
3.344	75.4	0 0 3
4.279	73.2	1 0 0
2.584	68.3	1 1 1
2.301	35.4	1 1 2
2.293	34.8	1 1 -3
5.016	30.9	0 0 2
2.949	28.9	0 1 2

```
data_K2CaRh
_chemical_formula_sum 'K2 Ca1 Rh1'
_cell_length_a 4.3800
_cell_length_b 3.6449
_cell_length_c 10.2554
_cell_angle_alpha 90.00
_cell_angle_beta 102.00
_cell_angle_gamma 90.00
_space_group_name_H-M_alt 'P 1 m 1'
_space_group_IT_number 6
_space_group_name_Hall 'P -2y'
loop_
_atom_site_label
_atom_site_fract_x
_atom_site_fract_y
_atom_site_fract_z
K1 0.0000 0.0000 0.0000
K2 0.3013 0.5000 0.6108
Ca1 0.6484 0.5000 0.2990
Rh1 0.1597 0.0000 0.3220
```

***

Record 4
Structure and computed PXRD pattern of Sn3PbS4 (a cell relaxed with GGA-PBE; Cu Kα (weighted mean of Kα1 and Kα2)).
Peak positions follow from Bragg's law for the DFT cell and can differ from measured ones.

Principal peaks in the range 10° ≤ 2θ ≤ 80°, most intense first:
d (Å)	Rel. int.	h k l
2.891	100.0	1 1 1
3.371	66.5	1 1 -1
2.927	56.2	2 0 -2
3.880	49.8	0 0 2
2.299	44.3	1 1 -3
1.877	42.5	3 1 -1
2.061	22.3	0 2 0
1.685	22.1	2 2 -2

```
data_Sn3PbS4
_chemical_formula_sum 'Sn3 Pb1 S4'
_cell_length_a 6.3719
_cell_length_b 4.1228
_cell_length_c 8.3335
_cell_angle_alpha 90.00
_cell_angle_beta 111.36
_cell_angle_gamma 90.00
_space_group_name_H-M_alt 'P 1 m 1'
_space_group_IT_number 6
_space_group_name_Hall 'P -2y'
loop_
_atom_site_label
_atom_site_fract_x
_atom_site_fract_y
_atom_site_fract_z
Sn1 0.0000 0.0000 0.0000
Sn2 0.0388 0.5000 0.5535
Sn3 0.5520 0.5000 0.0543
Pb1 0.4844 0.0000 0.5028
S1 0.2596 0.5000 0.2086
S2 0.3058 0.0000 0.8540
S3 0.7666 0.5000 0.7203
S4 0.8064 0.0000 0.3515
```

***

Record 5
Structure and computed PXRD pattern of PmCu6Pt4 (a cell relaxed with GGA-PBE; Cu Kα (weighted mean of Kα1 and Kα2)).
Peak positions follow from Bragg's law for the DFT cell and can differ from measured ones.

Principal peaks in the range 10° ≤ 2θ ≤ 80°, most intense first:
d (Å)	Rel. int.	h k l
2.579	100.0	2 0 2
2.088	85.2	1 1 4
2.169	62.3	2 2 0
3.208	56.9	1 1 2
3.068	45.6	2 0 0
1.797	45.0	3 1 2
1.504	31.9	3 1 4
1.318	25.1	4 2 2

```
data_PmCu6Pt4
_chemical_formula_sum 'Pm2 Cu12 Pt8'
_cell_length_a 6.1353
_cell_length_b 6.1353
_cell_length_c 9.5311
_cell_angle_alpha 90.00
_cell_angle_beta 90.00
_cell_angle_gamma 90.00
_space_group_name_H-M_alt 'I -4 2 m'
_space_group_IT_number 121
_space_group_name_Hall 'I -4 2'
loop_
_atom_site_label
_atom_site_fract_x
_atom_site_fract_y
_atom_site_fract_z
Pm1 0.0000 0.0000 0.0000
Cu1 0.0000 0.5000 0.0000
Cu2 0.1529 0.1529 0.5853
Pt1 0.2286 0.2286 0.3186
```

***

Record 6
Structure and computed PXRD pattern of MgAl2ZnAu4 (a cell relaxed with GGA-PBE; Cu Kα (weighted mean of Kα1 and Kα2)).
Peak positions follow from Bragg's law for the DFT cell and can differ from measured ones.

Principal peaks in the range 10° ≤ 2θ ≤ 80°, most intense first:
d (Å)	Rel. int.	h k l
3.224	100.0	1 0 4
2.276	86.2	1 1 0
2.283	86.1	0 1 8
1.315	45.2	3 0 0
1.612	29.4	2 0 8
1.859	22.0	0 2 4
1.440	19.5	2 1 4
1.444	19.1	1 1 12

```
data_MgAl2ZnAu4
_chemical_formula_sum 'Mg3 Al6 Zn3 Au12'
_cell_length_a 4.5524
_cell_length_b 4.5524
_cell_length_c 22.4096
_cell_angle_alpha 90.00
_cell_angle_beta 90.00
_cell_angle_gamma 120.00
_space_group_name_H-M_alt 'R -3 m'
_space_group_IT_number 166
_space_group_name_Hall '-R 3 2"'
loop_
_atom_site_label
_atom_site_fract_x
_atom_site_fract_y
_atom_site_fract_z
Mg1 0.0000 0.0000 0.0000
Al1 0.0000 0.0000 0.2512
Zn1 0.0000 0.0000 0.5000
Au1 0.0000 0.0000 0.1260
Au2 0.0000 0.0000 0.3779
```